For Ca4Al6SO16, a structure optimized by DFT (PBE) gives the theoretical X-ray diffraction stick pattern in this record (Cu Kα (weighted mean of Kα1 and Kα2)).
Neutral-atom scattering factors, no anomalous dispersion.

Most intense lines, 2θ = 5–70°, in order of rising 2θ:
- 23.3°, I 100
- 26.9°, I 22
- 33.1°, I 50
- 40.9°, I 18
- 55.5°, I 24
- 66.2°, I 21

Atomic structure:
```
Ca4Al6SO16
1.0
-4.6815 4.6815 4.6815
4.6815 -4.6815 4.6815
4.6815 4.6815 -4.6815
Ca Al S O
4 6 1 16
Cartesian
2.2603 2.2603 -2.2603 Ca
2.2603 -2.2603 2.2603 Ca
-2.2603 2.2603 2.2603 Ca
2.4212 2.4212 2.4212 Ca
4.6815 2.3407 0.0000 Al
4.6815 0.0000 2.3407 Al
2.3407 4.6815 0.0000 Al
2.3407 0.0000 4.6815 Al
0.0000 4.6815 2.3407 Al
0.0000 2.3407 4.6815 Al
0.0000 0.0000 0.0000 S
3.8117 3.8117 -3.8117 O
4.2593 1.4497 -1.4497 O
4.2593 -1.4497 1.4497 O
3.8117 -3.8117 3.8117 O
0.8698 0.8698 0.8698 O
1.4497 4.2593 -1.4497 O
1.4497 -1.4497 4.2593 O
5.1037 1.4497 1.4497 O
3.2318 3.2318 0.4222 O
3.2318 0.4222 3.2318 O
3.2318 -0.4222 6.1312 O
3.2318 6.1312 -0.4222 O
0.4222 3.2318 3.2318 O
1.4497 5.1037 1.4497 O
1.4497 1.4497 5.1037 O
-3.8117 3.8117 3.8117 O
```